Diffraction record for Er4AlAg2Au. The XRD peak list is theoretical, not measured: it uses a cell relaxed with GGA-PBE and Cu Kα (weighted mean of Kα1 and Kα2).

```
data_Er4AlAg2Au
_cell_length_a 5.0731
_cell_length_b 5.0731
_cell_length_c 24.9647
_cell_angle_alpha 90.00
_cell_angle_beta 90.00
_cell_angle_gamma 120.00
_space_group_name_H-M_alt 'R -3 m'
_space_group_IT_number 166
_space_group_name_Hall '-R 3 2"'
loop_
_atom_site_label
_atom_site_fract_x
_atom_site_fract_y
_atom_site_fract_z
Er1 0.0000 0.0000 0.1222
Er2 0.0000 0.0000 0.3729
Al1 0.0000 0.0000 0.5000
Ag1 0.0000 0.0000 0.2434
Au1 0.0000 0.0000 0.0000
```

Most intense lines, 10 to 80 degrees two-theta, in order of rising 2θ:
hkl  2theta  I/Imax
0 1 8  35.28  97.7
1 1 0  35.39  100.0
2 0 8  50.83  34.5
1 0 16  63.25  16.2
3 0 0  63.48  53.4
2 2 0  74.87  11.2

Diffraction record for Na2Al2AgAu5. The XRD peak list is theoretical, not measured: it uses a cell relaxed with GGA-PBE and Cu Kα (weighted mean of Kα1 and Kα2).

```
data_Na2Al2AgAu5
_cell_length_a 11.5628
_cell_length_b 11.5628
_cell_length_c 2.9807
_cell_angle_alpha 90.00
_cell_angle_beta 90.00
_cell_angle_gamma 90.00
_space_group_name_H-M_alt 'P 4/m b m'
_space_group_IT_number 127
_space_group_name_Hall '-P 4 2ab'
loop_
_atom_site_label
_atom_site_fract_x
_atom_site_fract_y
_atom_site_fract_z
Na1 0.1718 0.3282 0.0000
Al1 0.1324 0.6324 0.0000
Ag1 0.0000 0.0000 0.0000
Au1 0.0000 0.5000 0.5000
Au2 0.0734 0.8044 0.5000
```

Most intense lines, 10 to 80 degrees two-theta, in order of rising 2θ:
hkl  2theta  I/Imax
4 1 0  31.91  64.1
4 2 0  34.71  44.3
3 1 1  38.98  100.0
3 2 1  41.35  39.7
4 1 1  44.35  45.5
5 5 1  65.06  41.6